Starting from a GGA-PBE-relaxed structure, the X-ray powder pattern of Na2SnPbS4 was calculated for Cu Kα (λ = 1.5418 Å).
Neutral-atom scattering factors, no anomalous dispersion.

a b c (Å): 9.828 7.594 6.149
angles (deg): 90.00 90.00 90.00
Fractional positions:
1 Na 0.250 0.182 0.000
2 Na 0.250 0.818 0.500
3 Na 0.750 0.182 0.000
4 Na 0.750 0.818 0.500
5 Sn 0.000 0.334 0.554
6 Sn 0.500 0.666 0.054
7 Pb 0.000 0.695 0.007
8 Pb 0.500 0.305 0.507
9 S 0.000 0.347 0.953
10 S 0.000 0.646 0.458
11 S 0.211 0.187 0.469
12 S 0.289 0.813 0.969
13 S 0.500 0.354 0.958
14 S 0.500 0.653 0.453
15 S 0.711 0.813 0.969
16 S 0.789 0.187 0.469

Peak list (10 most intense, 2θ = 10–80°, in order of falling intensity)
- 2θ 18.57, d 4.779, rel. 100.0
- 2θ 26.01, d 3.426, rel. 76.0
- 2θ 29.05, d 3.074, rel. 66.0
- 2θ 18.05, d 4.914, rel. 64.1
- 2θ 21.54, d 4.126, rel. 50.5
- 2θ 40.07, d 2.250, rel. 46.0
- 2θ 23.43, d 3.797, rel. 45.6
- 2θ 50.24, d 1.816, rel. 39.9
- 2θ 36.58, d 2.456, rel. 34.8
- 2θ 11.65, d 7.594, rel. 32.1